Diffraction record for Tb3PmEr7. The XRD peak list is simulated, not measured: it uses a structure optimized by DFT (PBE) and CuKα.
Neutral-atom scattering factors, no anomalous dispersion.

Crystal structure
```
data_Tb3PmEr7
_chemical_formula_sum 'Tb3 Pm1 Er7'
_space_group_name_H-M_alt 'P 1'
_space_group_IT_number 1
_space_group_name_Hall 'P 1'
_cell_length_a 8.3662
_cell_length_b 8.3662
_cell_length_c 5.7581
_cell_angle_alpha 110.06
_cell_angle_beta 110.06
_cell_angle_gamma 83.43
loop_
_atom_site_label
_atom_site_type_symbol
_atom_site_fract_x
_atom_site_fract_y
_atom_site_fract_z
_atom_site_occupancy
Tb1 Tb 0.0000 0.0000 0.0000 1
Tb2 Tb 0.2079 0.7921 0.5000 1
Tb3 Tb 0.7921 0.2079 0.5000 1
Pm1 Pm 0.5000 0.5000 0.0000 1
Er1 Er 0.0150 0.4025 0.2086 1
Er2 Er 0.2057 0.2057 0.7048 1
Er3 Er 0.4025 0.0150 0.2086 1
Er4 Er 0.5000 0.5000 0.5000 1
Er5 Er 0.5975 0.9850 0.7914 1
Er6 Er 0.7943 0.7943 0.2952 1
Er7 Er 0.9850 0.5975 0.7914 1
```

The 6 most intense peaks (2θ from 10° to 80°), sorted by position:
25.35 deg, d 3.514, I 17.0
31.06 deg, d 2.879, I 38.2
32.28 deg, d 2.773, I 17.6
32.96 deg, d 2.718, I 100.0
45.34 deg, d 2.000, I 16.5
56.48 deg, d 1.629, I 21.7

***

Diffraction record for CsCa2ErBr8. The XRD peak list is simulated, not measured: it uses a structure optimized by DFT (PBE) and CuKα.
Neutral-atom scattering factors, no anomalous dispersion.

Crystal structure
```
data_CsCa2ErBr8
_chemical_formula_sum 'Cs1 Ca2 Er1 Br8'
_space_group_name_H-M_alt 'P 1'
_space_group_IT_number 1
_space_group_name_Hall 'P 1'
_cell_length_a 6.8082
_cell_length_b 7.0663
_cell_length_c 9.3649
_cell_angle_alpha 89.93
_cell_angle_beta 89.89
_cell_angle_gamma 88.82
loop_
_atom_site_label
_atom_site_type_symbol
_atom_site_fract_x
_atom_site_fract_y
_atom_site_fract_z
_atom_site_occupancy
Cs1 Cs 0.0000 0.0000 0.0000 1
Ca1 Ca 0.4998 0.5000 0.2484 1
Ca2 Ca 0.5002 0.5000 0.7516 1
Er1 Er 0.0000 0.0000 0.5000 1
Br1 Br 0.2447 0.8321 0.7017 1
Br2 Br 0.2457 0.8332 0.2980 1
Br3 Br 0.2554 0.3220 0.5002 1
Br4 Br 0.2689 0.4008 0.0004 1
Br5 Br 0.7311 0.5992 0.9996 1
Br6 Br 0.7446 0.6780 0.4998 1
Br7 Br 0.7543 0.1668 0.7020 1
Br8 Br 0.7553 0.1679 0.2983 1
```

The 6 most intense peaks (2θ from 10° to 80°), sorted by position:
17.91 deg, d 4.953, I 52.3
26.45 deg, d 3.369, I 100.0
28.22 deg, d 3.162, I 50.9
34.78 deg, d 2.580, I 53.0
35.18 deg, d 2.551, I 46.2
42.94 deg, d 2.106, I 35.6